The following is a simulated powder X-ray diffraction pattern of NaV3H6S2O14. It was derived from a structure optimized by DFT (GGA+U), using Cu Kα, 1.54184 Å.

Structural model:
```
data_NaV3H6S2O14
_chemical_formula_sum 'Na3 V9 H18 S6 O42'
_cell_length_a 7.3943
_cell_length_b 7.3943
_cell_length_c 17.1620
_cell_angle_alpha 90.00
_cell_angle_beta 90.00
_cell_angle_gamma 120.00
_space_group_name_H-M_alt 'R -3 m'
_space_group_IT_number 166
_space_group_name_Hall '-R 3 2"'
loop_
_atom_site_label
_atom_site_type_symbol
_atom_site_fract_x
_atom_site_fract_y
_atom_site_fract_z
Na1 Na 0.0000 0.0000 0.0000
V1 V 0.0000 0.5000 0.5000
H1 H 0.0566 0.5283 0.2287
S1 S 0.0000 0.0000 0.3098
O1 O 0.0000 0.0000 0.3959
O2 O 0.0790 0.5395 0.7986
O3 O 0.1102 0.2204 0.7188
```

Top 10 peaks for 15° ≤ 2θ ≤ 90°, in order of rising 2θ:
d_spacing	two_theta	I (rel.)	hkl
5.721	15.5	19	0 0 3
5.132	17.3	76	0 1 2
3.148	28.4	78	0 2 1
3.105	28.8	100	1 1 3
2.566	35.0	18	0 2 4
2.290	39.4	35	1 0 7
2.000	45.3	35	0 3 3
1.849	49.3	36	2 2 0
1.553	59.5	17	2 2 6
1.513	61.3	23	0 2 10